# Ce4Dy11Ho9
Computed powder diffractogram, Cu Kα X-rays. Input: DFT lattice parameters and positions (PBE).
No peak broadening, texture or thermal motion is included.

Principal peaks in the range 2θ from 10° to 90°, low angle first:
2θ 30.4, I = 71, hkl 4 6 0; 2θ 30.7, I = 8, hkl 2 8 0; 2θ 31.3, I = 15, hkl 3 3 1; 2θ 32.7, I = 100, hkl 4 0 1; 2θ 32.9, I = 10, hkl 1 9 0; 2θ 33.1, I = 9, hkl 6 2 0; 2θ 50.2, I = 13, hkl 0 0 2; 2θ 52.7, I = 7, hkl 7 7 1; 2θ 55.7, I = 10, hkl 6 10 1; 2θ 59.8, I = 18, hkl 4 6 2

Atomic structure:
```
data_Ce4Dy11Ho9
_symmetry_space_group_name_H-M 'C m m m'
_symmetry_Int_Tables_number 65
_symmetry_space_group_name_Hall '-C 2 2'
_cell_length_a 16.663
_cell_length_b 24.853
_cell_length_c 3.636
_cell_angle_alpha 90.00
_cell_angle_beta 90.00
_cell_angle_gamma 90.00
loop_
_atom_site_label
_atom_site_fract_x
_atom_site_fract_y
_atom_site_fract_z
Ce1 0.152 0.100 0.000
Dy1 0.000 0.136 0.500
Dy2 0.000 0.343 0.500
Dy3 0.000 0.500 0.500
Dy4 0.210 0.000 0.500
Dy5 0.229 0.320 0.500
Ho1 0.000 0.000 0.000
Ho2 0.102 0.237 0.000
Ho3 0.142 0.428 0.000
```

=====

# CeDy6Ho10
Computed powder diffractogram, Cu Kα X-rays. Input: DFT lattice parameters and positions (PBE).
No peak broadening, texture or thermal motion is included.

Principal peaks in the range 2θ from 10° to 90°, low angle first:
2θ 28.4, I = 6, hkl 2 1 0; 2θ 31.4, I = 27, hkl 3 -1 1; 2θ 32.3, I = 100, hkl 1 1 2; 2θ 41.4, I = 9, hkl 4 -1 1; 2θ 46.4, I = 14, hkl 4 -2 2; 2θ 49.7, I = 9, hkl 3 2 1; 2θ 57.1, I = 6, hkl 4 -1 3; 2θ 57.7, I = 22, hkl 2 -1 4; 2θ 60.6, I = 10, hkl 4 0 3; 2θ 63.9, I = 9, hkl 6 -1 1

Atomic structure:
```
data_CeDy6Ho10
_symmetry_space_group_name_H-M 'P -3 1 m'
_symmetry_Int_Tables_number 162
_symmetry_space_group_name_Hall '-P 3 2'
_cell_length_a 9.5906
_cell_length_b 9.5906
_cell_length_c 6.7795
_cell_angle_alpha 90.00
_cell_angle_beta 90.00
_cell_angle_gamma 120.00
loop_
_atom_site_label
_atom_site_fract_x
_atom_site_fract_y
_atom_site_fract_z
Ce1 0.0000 0.0000 0.0000
Dy1 0.0000 0.3776 0.8013
Ho1 0.0000 0.2737 0.3165
Ho2 0.3333 0.6667 0.0000
Ho3 0.3333 0.6667 0.5000
```

=====

# CeDy6Ho4
Computed powder diffractogram, Cu Kα X-rays. Input: DFT lattice parameters and positions (PBE).
No peak broadening, texture or thermal motion is included.

Principal peaks in the range 2θ from 10° to 90°, low angle first:
2θ 30.5, I = 69, hkl 1 1 7; 2θ 30.8, I = 55, hkl 0 2 7; 2θ 31.4, I = 71, hkl 2 0 0; 2θ 32.2, I = 100, hkl 1 3 0; 2θ 32.4, I = 28, hkl 1 3 1; 2θ 33.5, I = 54, hkl 1 1 8; 2θ 44.6, I = 40, hkl 2 2 7; 2θ 56.4, I = 21, hkl 3 3 0; 2θ 56.8, I = 18, hkl 1 5 7; 2θ 58.1, I = 18, hkl 2 4 8

Atomic structure:
```
data_CeDy6Ho4
_symmetry_space_group_name_H-M 'C m c m'
_symmetry_Int_Tables_number 63
_symmetry_space_group_name_Hall '-C 2c 2'
_cell_length_a 5.703
_cell_length_b 9.537
_cell_length_c 25.593
_cell_angle_alpha 90.00
_cell_angle_beta 90.00
_cell_angle_gamma 90.00
loop_
_atom_site_label
_atom_site_fract_x
_atom_site_fract_y
_atom_site_fract_z
Ce1 0.000 0.194 0.250
Dy1 0.000 0.135 0.681
Dy2 0.000 0.195 0.102
Dy3 0.000 0.471 0.750
Dy4 0.000 0.500 0.000
Ho1 0.000 0.155 0.542
Ho2 0.000 0.463 0.622
```

=====

# CeDy12Ho5
Computed powder diffractogram, Cu Kα X-rays. Input: DFT lattice parameters and positions (PBE).
No peak broadening, texture or thermal motion is included.

Principal peaks in the range 2θ from 10° to 90°, low angle first:
2θ 31.0, I = 100, hkl 3 3 1; 2θ 35.9, I = 51, hkl 6 0 0; 2θ 51.7, I = 36, hkl 6 6 0; 2θ 61.5, I = 43, hkl 9 3 1; 2θ 64.5, I = 12, hkl 6 6 2; 2θ 76.1, I = 6, hkl 12 0 0; 2θ 84.4, I = 18, hkl 9 9 1; 2θ 87.1, I = 17, hkl 12 6 0

Atomic structure:
```
data_CeDy12Ho5
_symmetry_space_group_name_H-M 'C m m m'
_symmetry_Int_Tables_number 65
_symmetry_space_group_name_Hall '-C 2 2'
_cell_length_a 15.000
_cell_length_b 15.010
_cell_length_c 5.003
_cell_angle_alpha 90.00
_cell_angle_beta 90.00
_cell_angle_gamma 90.00
loop_
_atom_site_label
_atom_site_fract_x
_atom_site_fract_y
_atom_site_fract_z
Ce1 0.000 0.000 0.000
Dy1 0.165 0.000 0.500
Dy2 0.166 0.334 0.500
Dy3 0.167 0.167 0.000
Dy4 0.167 0.500 0.000
Ho1 0.000 0.166 0.500
Ho2 0.000 0.333 0.000
Ho3 0.000 0.500 0.500
```

=====

# CeDyHo3
Computed powder diffractogram, Cu Kα X-rays. Input: DFT lattice parameters and positions (PBE).
No peak broadening, texture or thermal motion is included.

Principal peaks in the range 2θ from 10° to 90°, low angle first:
2θ 31.1, I = 100, hkl 2 1 0; 2θ 36.1, I = 51, hkl 0 1 5; 2θ 51.9, I = 30, hkl 4 1 5; 2θ 52.0, I = 6, hkl 0 2 0; 2θ 61.7, I = 14, hkl 6 1 0; 2θ 61.8, I = 28, hkl 2 2 5; 2θ 64.8, I = 12, hkl 4 2 0; 2θ 84.8, I = 15, hkl 6 2 5; 2θ 87.5, I = 6, hkl 8 1 5; 2θ 87.6, I = 8, hkl 4 2 10

Atomic structure:
```
data_CeDyHo3
_symmetry_space_group_name_H-M 'P n m a'
_symmetry_Int_Tables_number 62
_symmetry_space_group_name_Hall '-P 2ac 2n'
_cell_length_a 9.980
_cell_length_b 3.517
_cell_length_c 17.614
_cell_angle_alpha 90.00
_cell_angle_beta 90.00
_cell_angle_gamma 90.00
loop_
_atom_site_label
_atom_site_fract_x
_atom_site_fract_y
_atom_site_fract_z
Ce1 0.126 0.250 0.152
Dy1 0.128 0.250 0.549
Ho1 0.121 0.250 0.950
Ho2 0.124 0.250 0.349
Ho3 0.125 0.250 0.750
```

=====

# CePrDy2Ho
Computed powder diffractogram, Cu Kα X-rays. Input: DFT lattice parameters and positions (PBE).
No peak broadening, texture or thermal motion is included.

Principal peaks in the range 2θ from 10° to 90°, low angle first:
2θ 27.1, I = 21, hkl 0 1 2; 2θ 30.2, I = 100, hkl 1 2 1; 2θ 30.4, I = 25, hkl 2 0 0; 2θ 31.2, I = 49, hkl 1 1 2; 2θ 32.9, I = 19, hkl 2 0 1; 2θ 34.9, I = 27, hkl 2 1 1; 2θ 37.2, I = 27, hkl 0 0 3; 2θ 48.6, I = 22, hkl 2 3 1; 2θ 53.9, I = 20, hkl 3 2 1; 2θ 54.5, I = 28, hkl 2 2 3

Atomic structure:
```
data_CePrDy2Ho
_symmetry_space_group_name_H-M 'P m m a'
_symmetry_Int_Tables_number 51
_symmetry_space_group_name_Hall '-P 2a 2a'
_cell_length_a 5.877
_cell_length_b 7.752
_cell_length_c 7.255
_cell_angle_alpha 90.00
_cell_angle_beta 90.00
_cell_angle_gamma 90.00
loop_
_atom_site_label
_atom_site_fract_x
_atom_site_fract_y
_atom_site_fract_z
Ce1 0.000 0.000 0.000
Pr1 0.250 0.500 0.163
Dy1 0.250 0.289 0.677
Ho1 0.250 0.000 0.385
```

=====

# CeDy4Ho3S8
Computed powder diffractogram, Cu Kα X-rays. Input: DFT lattice parameters and positions (PBE).
No peak broadening, texture or thermal motion is included.

Principal peaks in the range 2θ from 10° to 90°, low angle first:
2θ 27.9, I = 82, hkl 2 0 2; 2θ 32.4, I = 100, hkl 0 2 4; 2θ 46.4, I = 72, hkl 2 2 0; 2θ 55.1, I = 40, hkl 2 2 6; 2θ 57.7, I = 25, hkl 4 0 4; 2θ 67.8, I = 12, hkl 0 4 8; 2θ 74.8, I = 16, hkl 4 2 2; 2θ 77.1, I = 32, hkl 2 4 4; 2θ 86.1, I = 19, hkl 6 0 0; 2θ 86.2, I = 6, hkl 0 2 16

Atomic structure:
```
data_CeDy4Ho3S8
_symmetry_space_group_name_H-M 'R -3 m'
_symmetry_Int_Tables_number 166
_symmetry_space_group_name_Hall '-R 3 2"'
_cell_length_a 7.8255
_cell_length_b 7.8255
_cell_length_c 19.1481
_cell_angle_alpha 90.00
_cell_angle_beta 90.00
_cell_angle_gamma 120.00
loop_
_atom_site_label
_atom_site_fract_x
_atom_site_fract_y
_atom_site_fract_z
Ce1 0.0000 0.0000 0.0000
Dy1 0.0000 0.0000 0.5000
Dy2 0.0000 0.5000 0.5000
Ho1 0.0000 0.5000 0.0000
S1 0.0000 0.0000 0.2507
S2 0.0049 0.5025 0.2494
```

=====

# CeSmDy2Ho4
Computed powder diffractogram, Cu Kα X-rays. Input: DFT lattice parameters and positions (PBE).
No peak broadening, texture or thermal motion is included.

Principal peaks in the range 2θ from 10° to 90°, low angle first:
2θ 30.9, I = 100, hkl 1 1 2; 2θ 35.7, I = 17, hkl 0 2 0; 2θ 35.8, I = 17, hkl 2 0 0; 2θ 36.0, I = 17, hkl 0 0 4; 2θ 51.5, I = 12, hkl 2 2 0; 2θ 51.7, I = 24, hkl 2 0 4; 2θ 61.2, I = 14, hkl 1 3 2; 2θ 61.4, I = 14, hkl 3 1 2; 2θ 61.6, I = 14, hkl 1 1 6; 2θ 64.5, I = 12, hkl 2 2 4

Atomic structure:
```
data_CeSmDy2Ho4
_symmetry_space_group_name_H-M 'P m m m'
_symmetry_Int_Tables_number 47
_symmetry_space_group_name_Hall '-P 2 2'
_cell_length_a 5.012
_cell_length_b 5.025
_cell_length_c 9.974
_cell_angle_alpha 90.00
_cell_angle_beta 90.00
_cell_angle_gamma 90.00
loop_
_atom_site_label
_atom_site_fract_x
_atom_site_fract_y
_atom_site_fract_z
Ce1 0.000 0.000 0.000
Sm1 0.500 0.500 0.500
Dy1 0.000 0.000 0.500
Dy2 0.500 0.500 0.000
Ho1 0.000 0.500 0.247
Ho2 0.500 0.000 0.248
```

=====

# TbCeDyHo2
Computed powder diffractogram, Cu Kα X-rays. Input: DFT lattice parameters and positions (PBE).
No peak broadening, texture or thermal motion is included.

Principal peaks in the range 2θ from 10° to 90°, low angle first:
2θ 28.6, I = 35, hkl 0 1 2; 2θ 30.0, I = 100, hkl 1 2 1; 2θ 30.4, I = 40, hkl 2 0 0; 2θ 32.5, I = 58, hkl 1 1 2; 2θ 35.1, I = 31, hkl 2 1 1; 2θ 39.2, I = 21, hkl 1 3 1; 2θ 47.8, I = 27, hkl 2 3 1; 2θ 53.8, I = 20, hkl 3 2 1; 2θ 55.4, I = 20, hkl 3 1 2; 2θ 56.2, I = 22, hkl 2 2 3

Atomic structure:
```
data_TbCeDyHo2
_symmetry_space_group_name_H-M 'P m m a'
_symmetry_Int_Tables_number 51
_symmetry_space_group_name_Hall '-P 2a 2a'
_cell_length_a 5.877
_cell_length_b 8.046
_cell_length_c 6.774
_cell_angle_alpha 90.00
_cell_angle_beta 90.00
_cell_angle_gamma 90.00
loop_
_atom_site_label
_atom_site_fract_x
_atom_site_fract_y
_atom_site_fract_z
Tb1 0.250 0.000 0.165
Ce1 0.000 0.500 0.000
Dy1 0.250 0.500 0.412
Ho1 0.250 0.199 0.689
```

=====

# CeDyHo2Tm
Computed powder diffractogram, Cu Kα X-rays. Input: DFT lattice parameters and positions (PBE).
No peak broadening, texture or thermal motion is included.

Principal peaks in the range 2θ from 10° to 90°, low angle first:
2θ 27.4, I = 21, hkl 0 1 2; 2θ 30.7, I = 100, hkl 1 2 1; 2θ 30.9, I = 27, hkl 2 0 0; 2θ 31.6, I = 55, hkl 1 1 2; 2θ 33.3, I = 17, hkl 2 0 1; 2θ 35.4, I = 38, hkl 0 3 0; 2θ 49.4, I = 23, hkl 2 3 1; 2θ 52.5, I = 17, hkl 0 3 3; 2θ 54.8, I = 22, hkl 3 2 1; 2θ 55.3, I = 29, hkl 2 2 3

Atomic structure:
```
data_CeDyHo2Tm
_symmetry_space_group_name_H-M 'P m m a'
_symmetry_Int_Tables_number 51
_symmetry_space_group_name_Hall '-P 2a 2a'
_cell_length_a 5.795
_cell_length_b 7.619
_cell_length_c 7.186
_cell_angle_alpha 90.00
_cell_angle_beta 90.00
_cell_angle_gamma 90.00
loop_
_atom_site_label
_atom_site_fract_x
_atom_site_fract_y
_atom_site_fract_z
Ce1 0.000 0.000 0.000
Dy1 0.250 0.500 0.157
Ho1 0.250 0.292 0.678
Tm1 0.250 0.000 0.387
```

=====

# CeDy7In4
Computed powder diffractogram, Cu Kα X-rays. Input: DFT lattice parameters and positions (PBE).
No peak broadening, texture or thermal motion is included.

Principal peaks in the range 2θ from 10° to 90°, low angle first:
2θ 28.6, I = 52, hkl 4 0 -3; 2θ 30.0, I = 56, hkl 1 1 2; 2θ 30.8, I = 44, hkl 3 1 -3; 2θ 31.2, I = 26, hkl 2 0 2; 2θ 31.9, I = 100, hkl 0 2 0; 2θ 33.1, I = 35, hkl 3 1 1; 2θ 36.1, I = 63, hkl 5 1 -1; 2θ 36.4, I = 22, hkl 5 1 -3; 2θ 43.4, I = 34, hkl 4 2 -3; 2θ 59.6, I = 19, hkl 5 3 -1

Atomic structure:
```
data_CeDy7In4
_symmetry_space_group_name_H-M 'C 1 2/m 1'
_symmetry_Int_Tables_number 12
_symmetry_space_group_name_Hall '-C 2y'
_cell_length_a 14.585
_cell_length_b 5.617
_cell_length_c 10.354
_cell_angle_alpha 90.00
_cell_angle_beta 123.29
_cell_angle_gamma 90.00
loop_
_atom_site_label
_atom_site_fract_x
_atom_site_fract_y
_atom_site_fract_z
Ce1 0.000 0.000 0.000
Dy1 0.000 0.500 0.000
Dy2 0.066 0.000 0.400
Dy3 0.209 0.000 0.879
Dy4 0.226 0.500 0.670
In1 0.060 0.500 0.754
In2 0.179 0.500 0.335
```

=====

# Ce3Dy2In2
Computed powder diffractogram, Cu Kα X-rays. Input: DFT lattice parameters and positions (PBE).
No peak broadening, texture or thermal motion is included.

Principal peaks in the range 2θ from 10° to 90°, low angle first:
2θ 31.7, I = 100, hkl 1 1 2; 2θ 32.5, I = 88, hkl 3 1 -1; 2θ 36.5, I = 29, hkl 4 0 1; 2θ 37.4, I = 31, hkl 2 0 -3; 2θ 37.8, I = 32, hkl 0 2 0; 2θ 53.5, I = 19, hkl 4 2 1; 2θ 54.2, I = 21, hkl 2 2 -3; 2θ 63.4, I = 13, hkl 1 1 -5; 2θ 64.4, I = 13, hkl 1 3 2; 2θ 64.9, I = 22, hkl 3 3 -1

Atomic structure:
```
data_Ce3Dy2In2
_symmetry_space_group_name_H-M 'C 1 2/m 1'
_symmetry_Int_Tables_number 12
_symmetry_space_group_name_Hall '-C 2y'
_cell_length_a 10.796
_cell_length_b 4.765
_cell_length_c 7.723
_cell_angle_alpha 90.00
_cell_angle_beta 95.70
_cell_angle_gamma 90.00
loop_
_atom_site_label
_atom_site_fract_x
_atom_site_fract_y
_atom_site_fract_z
Ce1 0.000 0.000 0.000
Ce2 0.117 0.000 0.433
Dy1 0.218 0.500 0.151
In1 0.086 0.500 0.728
```